Record 1
For Li4NbCrTe2O12, a GGA+U-relaxed structure gives the calculated X-ray diffraction stick pattern in this record (Cu Ka).
No peak broadening, texture or thermal motion is included.

Structural model:
abc: 7.501 7.504 8.974
angles: 66.50 66.61 87.08
Space group P1 (No. 1)
One atom of each set of equivalent atoms:
Li: 0.000 0.000 0.000 (multiplicity 1)
Li: 0.019 0.515 0.995 (multiplicity 1)
Li: 0.280 0.277 0.460 (multiplicity 1)
Li: 0.317 0.811 0.443 (multiplicity 1)
Li: 0.500 0.500 0.000 (multiplicity 1)
Li: 0.519 0.016 0.995 (multiplicity 1)
Li: 0.780 0.777 0.460 (multiplicity 1)
Li: 0.818 0.310 0.443 (multiplicity 1)
Nb: 0.447 0.941 0.700 (multiplicity 1)
Nb: 0.947 0.441 0.700 (multiplicity 1)
Cr: 0.195 0.191 0.194 (multiplicity 1)
Cr: 0.695 0.691 0.195 (multiplicity 1)
Te: 0.199 0.693 0.197 (multiplicity 1)
Te: 0.448 0.443 0.694 (multiplicity 1)
Te: 0.699 0.193 0.197 (multiplicity 1)
Te: 0.948 0.943 0.694 (multiplicity 1)
O: 0.021 0.139 0.454 (multiplicity 1)
O: 0.142 0.514 0.443 (multiplicity 1)
O: 0.174 0.486 0.755 (multiplicity 1)
O: 0.182 0.485 0.127 (multiplicity 1)
O: 0.232 0.922 0.625 (multiplicity 1)
O: 0.244 0.914 0.244 (multiplicity 1)
O: 0.265 0.888 0.944 (multiplicity 1)
O: 0.399 0.269 0.934 (multiplicity 1)
O: 0.422 0.235 0.624 (multiplicity 1)
O: 0.430 0.235 0.246 (multiplicity 1)
O: 0.478 0.679 0.121 (multiplicity 1)
O: 0.490 0.664 0.752 (multiplicity 1)
O: 0.521 0.639 0.454 (multiplicity 1)
O: 0.642 0.014 0.443 (multiplicity 1)
O: 0.674 0.986 0.755 (multiplicity 1)
O: 0.681 0.985 0.127 (multiplicity 1)
O: 0.732 0.423 0.625 (multiplicity 1)
O: 0.745 0.414 0.244 (multiplicity 1)
O: 0.765 0.388 0.944 (multiplicity 1)
O: 0.900 0.769 0.934 (multiplicity 1)
O: 0.922 0.735 0.624 (multiplicity 1)
O: 0.930 0.735 0.246 (multiplicity 1)
O: 0.979 0.179 0.121 (multiplicity 1)
O: 0.990 0.164 0.751 (multiplicity 1)

The 10 most intense peaks (2θ = 10–90°), low angle first:
| 2θ/deg | d [Å] | Rel. int. | hkl |
| --- | --- | --- | --- |
| 20.87 | 4.257 | 9 | 1 1 2 |
| 23.76 | 3.745 | 100 | 2 0 1 |
| 33.01 | 2.713 | 37 | 2 2 2 |
| 34.67 | 2.587 | 23 | 2 0 3 |
| 40.10 | 2.249 | 10 | 1 -1 3 |
| 42.47 | 2.129 | 13 | -2 2 2 |
| 48.66 | 1.871 | 12 | 0 4 2 |
| 53.66 | 1.708 | 23 | 4 0 0 |
| 55.88 | 1.645 | 8 | 2 0 5 |
| 61.06 | 1.518 | 9 | 2 4 5 |

---

Record 2
For Li4Ti2Nb3Cr3O16, a GGA+U-relaxed structure gives the calculated X-ray diffraction stick pattern in this record (Cu Ka).
No peak broadening, texture or thermal motion is included.

Structural model:
abc: 10.513 6.006 9.752
angles: 90.00 90.41 90.00
Space group Cm (No. 8)
One atom of each set of equivalent atoms:
Li: 0.000 0.000 0.000 (multiplicity 2)
Li: 0.004 0.000 0.503 (multiplicity 2)
Li: 0.176 0.500 0.394 (multiplicity 2)
Li: 0.342 0.000 0.912 (multiplicity 2)
Ti: 0.181 0.500 0.004 (multiplicity 2)
Ti: 0.347 0.000 0.496 (multiplicity 2)
Nb: 0.098 0.275 0.721 (multiplicity 4)
Nb: 0.178 0.000 0.225 (multiplicity 2)
Cr: 0.344 0.500 0.718 (multiplicity 2)
Cr: 0.424 0.244 0.222 (multiplicity 4)
O: 0.007 0.000 0.319 (multiplicity 2)
O: 0.008 0.000 0.816 (multiplicity 2)
O: 0.026 0.500 0.868 (multiplicity 2)
O: 0.095 0.246 0.107 (multiplicity 4)
O: 0.178 0.000 0.599 (multiplicity 2)
O: 0.191 0.500 0.594 (multiplicity 2)
O: 0.248 0.281 0.849 (multiplicity 4)
O: 0.270 0.220 0.348 (multiplicity 4)
O: 0.340 0.000 0.114 (multiplicity 2)
O: 0.340 0.500 0.105 (multiplicity 2)
O: 0.429 0.246 0.604 (multiplicity 4)
O: 0.486 0.000 0.348 (multiplicity 2)

The 10 most intense peaks (2θ = 10–90°), low angle first:
| 2θ/deg | d [Å] | Rel. int. | hkl |
| --- | --- | --- | --- |
| 18.20 | 4.876 | 100 | 0 0 2 |
| 19.12 | 4.641 | 25 | 2 0 -1 |
| 19.29 | 4.602 | 89 | 1 1 -1 |
| 25.00 | 3.562 | 25 | 2 0 2 |
| 35.64 | 2.519 | 56 | 2 2 -1 |
| 39.09 | 2.304 | 26 | 4 0 2 |
| 44.47 | 2.037 | 39 | 2 2 -3 |
| 44.63 | 2.030 | 25 | 2 2 3 |
| 59.24 | 1.560 | 25 | 4 0 5 |
| 61.25 | 1.513 | 29 | 6 2 0 |

---

Record 3
For Li4Nb3V3Cr2O16, a GGA+U-relaxed structure gives the calculated X-ray diffraction stick pattern in this record (Cu Ka).
No peak broadening, texture or thermal motion is included.

Structural model:
abc: 10.463 6.037 9.804
angles: 90.00 90.84 90.00
Space group Cm (No. 8)
One atom of each set of equivalent atoms:
Li: 0.000 0.000 0.000 (multiplicity 2)
Li: 0.001 0.000 0.498 (multiplicity 2)
Li: 0.174 0.500 0.892 (multiplicity 2)
Li: 0.342 0.000 0.403 (multiplicity 2)
Nb: 0.097 0.263 0.217 (multiplicity 4)
Nb: 0.177 0.000 0.718 (multiplicity 2)
V: 0.335 0.500 0.217 (multiplicity 2)
V: 0.422 0.245 0.717 (multiplicity 4)
Cr: 0.178 0.500 0.494 (multiplicity 2)
Cr: 0.347 0.000 0.986 (multiplicity 2)
O: 0.011 0.000 0.315 (multiplicity 2)
O: 0.011 0.000 0.818 (multiplicity 2)
O: 0.027 0.500 0.355 (multiplicity 2)
O: 0.094 0.246 0.608 (multiplicity 4)
O: 0.175 0.500 0.091 (multiplicity 2)
O: 0.177 0.000 0.106 (multiplicity 2)
O: 0.245 0.276 0.352 (multiplicity 4)
O: 0.267 0.218 0.846 (multiplicity 4)
O: 0.336 0.000 0.605 (multiplicity 2)
O: 0.346 0.500 0.607 (multiplicity 2)
O: 0.433 0.244 0.105 (multiplicity 4)
O: 0.488 0.000 0.842 (multiplicity 2)

The 10 most intense peaks (2θ = 10–90°), low angle first:
| 2θ/deg | d [Å] | Rel. int. | hkl |
| --- | --- | --- | --- |
| 18.10 | 4.902 | 100 | 0 0 2 |
| 19.15 | 4.634 | 85 | 2 0 -1 |
| 19.31 | 4.596 | 42 | 1 1 1 |
| 24.76 | 3.595 | 24 | 2 0 -2 |
| 25.04 | 3.557 | 22 | 2 0 2 |
| 35.45 | 2.532 | 42 | 2 2 -1 |
| 35.62 | 2.520 | 43 | 2 2 1 |
| 44.21 | 2.049 | 30 | 2 2 -3 |
| 44.54 | 2.034 | 27 | 2 2 3 |
| 61.42 | 1.510 | 48 | 0 4 0 |

---

Record 4
For Li4Nb2V3Cr3O16, a GGA+U-relaxed structure gives the calculated X-ray diffraction stick pattern in this record (Cu Ka).
No peak broadening, texture or thermal motion is included.

Structural model:
abc: 10.437 6.004 9.684
angles: 90.00 90.52 90.00
Space group Cm (No. 8)
One atom of each set of equivalent atoms:
Li: 0.000 0.000 0.000 (multiplicity 2)
Li: 0.001 0.000 0.500 (multiplicity 2)
Li: 0.169 0.500 0.094 (multiplicity 2)
Li: 0.335 0.000 0.591 (multiplicity 2)
Nb: 0.170 0.500 0.497 (multiplicity 2)
Nb: 0.335 0.000 0.999 (multiplicity 2)
V: 0.087 0.257 0.776 (multiplicity 4)
V: 0.173 0.000 0.274 (multiplicity 2)
Cr: 0.332 0.500 0.777 (multiplicity 2)
Cr: 0.416 0.244 0.277 (multiplicity 4)
O: 0.002 0.000 0.187 (multiplicity 2)
O: 0.002 0.000 0.687 (multiplicity 2)
O: 0.022 0.500 0.647 (multiplicity 2)
O: 0.084 0.253 0.399 (multiplicity 4)
O: 0.169 0.000 0.901 (multiplicity 2)
O: 0.169 0.500 0.884 (multiplicity 2)
O: 0.243 0.282 0.649 (multiplicity 4)
O: 0.264 0.222 0.148 (multiplicity 4)
O: 0.334 0.000 0.383 (multiplicity 2)
O: 0.335 0.500 0.397 (multiplicity 2)
O: 0.417 0.248 0.899 (multiplicity 4)
O: 0.482 0.000 0.153 (multiplicity 2)

The 10 most intense peaks (2θ = 10–90°), low angle first:
| 2θ/deg | d [Å] | Rel. int. | hkl |
| --- | --- | --- | --- |
| 19.30 | 4.599 | 100 | 2 0 -1 |
| 19.40 | 4.576 | 93 | 1 1 1 |
| 25.19 | 3.536 | 30 | 2 0 2 |
| 32.55 | 2.751 | 37 | 1 1 -3 |
| 32.73 | 2.736 | 37 | 2 0 3 |
| 34.98 | 2.565 | 33 | 3 1 -2 |
| 35.20 | 2.549 | 63 | 3 1 2 |
| 35.73 | 2.513 | 50 | 2 2 -1 |
| 44.85 | 2.021 | 31 | 4 0 3 |
| 61.62 | 1.505 | 36 | 6 2 0 |

---

Record 5
For Li4NbCrW2O12, a GGA+U-relaxed structure gives the calculated X-ray diffraction stick pattern in this record (Cu Ka).
No peak broadening, texture or thermal motion is included.

Structural model:
abc: 5.180 5.477 7.546
angles: 94.30 90.02 90.12
Space group P1 (No. 1)
One atom of each set of equivalent atoms:
Li: 0.000 0.000 0.000 (multiplicity 1)
Li: 0.005 0.993 0.463 (multiplicity 1)
Li: 0.501 0.518 0.999 (multiplicity 1)
Li: 0.508 0.562 0.438 (multiplicity 1)
Nb: 0.507 0.062 0.705 (multiplicity 1)
Cr: 0.005 0.580 0.190 (multiplicity 1)
W: 0.001 0.561 0.691 (multiplicity 1)
W: 0.510 0.085 0.202 (multiplicity 1)
O: 0.121 0.592 0.930 (multiplicity 1)
O: 0.186 0.274 0.624 (multiplicity 1)
O: 0.203 0.898 0.243 (multiplicity 1)
O: 0.311 0.773 0.625 (multiplicity 1)
O: 0.321 0.390 0.240 (multiplicity 1)
O: 0.378 0.089 0.941 (multiplicity 1)
O: 0.626 0.094 0.442 (multiplicity 1)
O: 0.688 0.407 0.750 (multiplicity 1)
O: 0.698 0.791 0.130 (multiplicity 1)
O: 0.798 0.276 0.126 (multiplicity 1)
O: 0.825 0.899 0.749 (multiplicity 1)
O: 0.890 0.604 0.450 (multiplicity 1)

The 10 most intense peaks (2θ = 10–90°), low angle first:
| 2θ/deg | d [Å] | Rel. int. | hkl |
| --- | --- | --- | --- |
| 20.81 | 4.268 | 22 | 1 0 -1 |
| 23.66 | 3.760 | 100 | 0 0 2 |
| 32.80 | 2.731 | 38 | 1 1 -2 |
| 34.61 | 2.592 | 26 | 2 0 0 |
| 39.95 | 2.257 | 12 | 2 1 -1 |
| 42.34 | 2.135 | 9 | 2 0 -2 |
| 48.39 | 1.881 | 12 | 2 -2 0 |
| 53.33 | 1.718 | 21 | 1 -1 4 |
| 55.76 | 1.649 | 9 | -2 2 2 |
| 60.86 | 1.522 | 12 | 2 0 4 |

---

Record 6
For Li2Cr3NiO8, a GGA+U-relaxed structure gives the calculated X-ray diffraction stick pattern in this record (Cu Ka).
No peak broadening, texture or thermal motion is included.

Structural model:
abc: 5.8666 5.8666 14.5957
angles: 90.00 90.00 120.00
Space group R-3m (No. 166, hexagonal axes)
One atom of each set of equivalent atoms:
Li: 0.0000 0.0000 0.1251 (multiplicity 6)
Cr: 0.0000 0.5000 0.0000 (multiplicity 9)
Ni: 0.0000 0.0000 0.5000 (multiplicity 3)
O: 0.0000 0.0000 0.2603 (multiplicity 6)
O: 0.0316 0.5158 0.2615 (multiplicity 18)

The 10 most intense peaks (2θ = 10–90°), low angle first:
| 2θ/deg | d [Å] | Rel. int. | hkl |
| --- | --- | --- | --- |
| 18.23 | 4.865 | 32 | 0 0 3 |
| 18.49 | 4.798 | 100 | 1 0 1 |
| 35.47 | 2.531 | 15 | 0 1 5 |
| 35.74 | 2.512 | 37 | 1 1 3 |
| 35.88 | 2.503 | 10 | 0 2 1 |
| 37.49 | 2.399 | 10 | 2 0 2 |
| 43.40 | 2.085 | 72 | 0 2 4 |
| 57.44 | 1.604 | 11 | 1 2 5 |
| 62.70 | 1.482 | 21 | 2 0 8 |
| 63.42 | 1.467 | 21 | 2 2 0 |

---

Record 7
For Li4CrNi3O8, a GGA+U-relaxed structure gives the calculated X-ray diffraction stick pattern in this record (Cu Ka).
No peak broadening, texture or thermal motion is included.

Structural model:
abc: 10.095 5.818 5.847
angles: 90.00 125.08 90.00
Space group C2/m (No. 12)
One atom of each set of equivalent atoms:
Li: 0.000 0.000 0.000 (multiplicity 2)
Li: 0.000 0.500 0.000 (multiplicity 2)
Li: 0.250 0.250 0.000 (multiplicity 4)
Cr: 0.000 0.000 0.500 (multiplicity 2)
Ni: 0.000 0.500 0.500 (multiplicity 2)
Ni: 0.250 0.250 0.500 (multiplicity 4)
O: 0.003 0.240 0.269 (multiplicity 8)
O: 0.235 0.500 0.704 (multiplicity 4)
O: 0.236 0.000 0.731 (multiplicity 4)

The 10 most intense peaks (2θ = 10–90°), low angle first:
| 2θ/deg | d [Å] | Rel. int. | hkl |
| --- | --- | --- | --- |
| 18.54 | 4.785 | 100 | 0 0 1 |
| 36.13 | 2.486 | 14 | 4 0 -1 |
| 36.19 | 2.482 | 28 | 2 2 -1 |
| 37.82 | 2.379 | 15 | 2 2 0 |
| 43.88 | 2.063 | 74 | 4 0 0 |
| 48.02 | 1.895 | 14 | 2 2 1 |
| 57.97 | 1.591 | 14 | 2 2 -3 |
| 63.65 | 1.462 | 20 | 2 2 2 |
| 63.95 | 1.456 | 20 | 0 4 0 |
| 67.19 | 1.393 | 10 | 6 2 -3 |